(1)
# LaMo12PbSe16
Computed powder X-ray diffraction pattern, a wavelength of 1.5418 Å. Input: a DFT-relaxed cell (GGA-PBE, Alexandria).
Lines closer than 0.1° are merged.

Atomic structure:
abc: 9.7962 9.7962 9.7962
angles: 58.72 58.72 58.72
Fractional positions:
La 0.0000 0.0000 0.0000
Mo 0.0500 0.3723 0.1882
Mo 0.1265 0.3119 0.4500
Mo 0.1882 0.0500 0.3723
Mo 0.3119 0.4500 0.1265
Mo 0.3723 0.1882 0.0500
Mo 0.4500 0.1265 0.3119
Mo 0.5500 0.8735 0.6881
Mo 0.6277 0.8118 0.9500
Mo 0.6881 0.5500 0.8735
Mo 0.8118 0.9500 0.6277
Mo 0.8735 0.6881 0.5500
Mo 0.9500 0.6277 0.8118
Pb 0.5000 0.5000 0.5000
Se 0.0043 0.3745 0.7474
Se 0.1211 0.1211 0.1211
Se 0.1238 0.7550 0.4977
Se 0.2450 0.5023 0.8762
Se 0.2526 0.9957 0.6255
Se 0.3745 0.7474 0.0043
Se 0.3781 0.3781 0.3781
Se 0.4977 0.1238 0.7550
Se 0.5023 0.8762 0.2450
Se 0.6219 0.6219 0.6219
Se 0.6255 0.2526 0.9957
Se 0.7474 0.0043 0.3745
Se 0.7550 0.4977 0.1238
Se 0.8762 0.2450 0.5023
Se 0.8789 0.8789 0.8789
Se 0.9957 0.6255 0.2526

Largest 10 diffraction maxima, in order of falling intensity, 10 to 90 degrees two-theta:
d_spacing	two_theta	I (rel.)
2.064	43.9	100
2.267	39.8	67
2.181	41.4	52
2.773	32.3	49
6.858	12.9	47
3.044	29.3	41
3.091	28.9	40
1.615	57.0	39
2.326	38.7	39
4.896	18.1	36

***

(2)
# LaMo6Se4S4
Computed powder X-ray diffraction pattern, a wavelength of 1.5418 Å. Input: a DFT-relaxed cell (GGA-PBE, Alexandria).
Lines closer than 0.1° are merged.

Atomic structure:
abc: 6.6919 6.6967 6.7560
angles: 90.43 91.00 90.62
Fractional positions:
La 0.0000 0.0000 0.0000
Mo 0.2429 0.5370 0.5768
Mo 0.4270 0.2126 0.4418
Mo 0.4508 0.5583 0.2346
Mo 0.5690 0.4013 0.7635
Mo 0.5941 0.7526 0.5555
Mo 0.7797 0.4220 0.4213
Se 0.2525 0.8567 0.3705
Se 0.3894 0.7383 0.8761
Se 0.6286 0.2245 0.1207
Se 0.8928 0.6113 0.7560
S 0.1375 0.3565 0.2625
S 0.2523 0.2244 0.7504
S 0.7468 0.1147 0.6210
S 0.7691 0.7353 0.2469

Largest 10 diffraction maxima, in order of falling intensity, 10 to 90 degrees two-theta:
d_spacing	two_theta	I (rel.)
6.693	13.2	100
2.249	40.1	69
4.781	18.6	63
2.238	40.3	56
4.709	18.8	48
2.032	44.6	47
2.213	40.8	41
2.747	32.6	40
3.007	29.7	40
2.112	42.8	37

***

(3)
# LaMoWS2
Computed powder X-ray diffraction pattern, a wavelength of 1.5418 Å. Input: a DFT-relaxed cell (GGA-PBE, Alexandria).
Lines closer than 0.1° are merged.

Atomic structure:
abc: 4.6466 4.6466 5.6912
angles: 90.00 90.00 90.00
Fractional positions:
La 0.0000 0.0000 0.0000
Mo 0.0000 0.0000 0.5000
W 0.5000 0.5000 0.0000
S 0.0000 0.5000 0.5000
S 0.5000 0.0000 0.5000

Largest 10 diffraction maxima, in order of falling intensity, 10 to 90 degrees two-theta:
d_spacing	two_theta	I (rel.)
2.846	31.4	100
3.286	27.1	63
2.151	42.0	48
2.323	38.8	47
1.800	50.7	42
1.423	65.6	38
1.643	56.0	27
3.599	24.7	27
1.306	72.4	24
5.691	15.6	20

***

(4)
# LaSc2Mo
Computed powder X-ray diffraction pattern, a wavelength of 1.5418 Å. Input: a DFT-relaxed cell (GGA-PBE, Alexandria).
Lines closer than 0.1° are merged.

Atomic structure:
abc: 3.2591 4.5408 6.5111
angles: 90.00 101.32 90.00
Fractional positions:
La 0.0000 0.0000 0.0000
Sc 0.3296 0.5000 0.6801
Sc 0.7462 0.0000 0.4440
Mo 0.2819 0.5000 0.2455

Largest 10 diffraction maxima, in order of falling intensity, 10 to 90 degrees two-theta:
d_spacing	two_theta	I (rel.)
2.612	34.3	100
6.384	13.9	31
2.270	39.7	22
3.700	24.0	22
2.519	35.6	21
2.293	39.3	20
3.113	28.7	19
1.368	68.6	12
1.687	54.4	12
3.195	27.9	11

***

(5)
# LaSiMo4
Computed powder X-ray diffraction pattern, a wavelength of 1.5418 Å. Input: a DFT-relaxed cell (GGA-PBE, Alexandria).
Lines closer than 0.1° are merged.

Atomic structure:
abc: 5.4175 5.4175 5.4175
angles: 60.00 60.00 60.00
Fractional positions:
La 0.0000 0.0000 0.0000
Si 0.2500 0.2500 0.2500
Mo 0.1275 0.6242 0.6242
Mo 0.6242 0.1275 0.6242
Mo 0.6242 0.6242 0.1275
Mo 0.6242 0.6242 0.6242

Largest 10 diffraction maxima, in order of falling intensity, 10 to 90 degrees two-theta:
d_spacing	two_theta	I (rel.)
2.310	39.0	100
2.212	40.8	47
1.474	63.0	32
1.354	69.4	26
2.709	33.1	21
4.423	20.1	21
1.155	83.7	17
3.831	23.2	12
1.168	82.6	11
1.564	59.1	8

***

(6)
# LaSiMo2
Computed powder X-ray diffraction pattern, a wavelength of 1.5418 Å. Input: a DFT-relaxed cell (GGA-PBE, Alexandria).
Lines closer than 0.1° are merged.

Atomic structure:
abc: 4.3243 4.3243 5.9621
angles: 111.32 111.32 60.01
Fractional positions:
La 0.0000 0.0000 0.0000
Si 0.2000 0.2000 0.5997
Mo 0.4990 0.4990 0.4969
Mo 0.7957 0.7957 0.3871

Largest 10 diffraction maxima, in order of falling intensity, 10 to 90 degrees two-theta:
d_spacing	two_theta	I (rel.)
2.752	32.5	100
2.162	41.8	77
1.689	54.3	39
3.401	26.2	37
2.706	33.1	27
3.649	24.4	25
2.453	36.6	23
1.700	53.9	23
1.489	62.3	23
1.337	70.5	21